Entry 1:
Simulated powder diffraction line list
Compound: Re4Xe3O10F14
Radiation: Cu Kα (λ = 1.5418 Å)
Structure: a PBE-relaxed structure
Lines closer than 0.1° are merged.

Peak list (10 most intense, 10° ≤ 2θ ≤ 80°, by intensity)
- 21.0°, I = 100, hkl 1 2 0
- 23.8°, I = 84, hkl 1 -1 2
- 18.5°, I = 44, hkl 0 0 2
- 22.2°, I = 41, hkl 1 -1 0
- 24.2°, I = 35, hkl 2 1 2
- 27.3°, I = 32, hkl 1 2 2
- 25.2°, I = 32, hkl 1 1 -2
- 22.1°, I = 27, hkl 2 1 1
- 40.4°, I = 22, hkl 2 3 -2
- 42.8°, I = 16, hkl 2 4 0

Cell: 8.052 8.486 10.429 Å, 88.13 69.04 61.74°
Space group P-1 (No. 2)
Symmetry-distinct sites (fractional):
Re1 0.013 0.498 0.257
Re2 0.439 0.816 0.214
Xe1 0.000 0.000 0.000
Xe2 0.345 0.832 0.636
O1 0.074 0.334 0.129
O2 0.183 0.968 0.262
O3 0.207 0.392 0.314
O4 0.263 0.772 0.834
O5 0.498 0.710 0.055
F1 0.118 0.625 0.132
F2 0.136 0.272 0.618
F3 0.184 0.547 0.609
F4 0.259 0.339 0.805
F5 0.407 0.637 0.314
F6 0.426 0.907 0.402
F7 0.470 0.017 0.850



Entry 2:
Simulated powder diffraction line list
Compound: SOF2
Radiation: Cu Kα (λ = 1.5418 Å)
Structure: a PBE-relaxed structure
Lines closer than 0.1° are merged.

Peak list (10 most intense, 10° ≤ 2θ ≤ 80°, by intensity)
- 25.1°, I = 100, hkl 0 2 1
- 22.6°, I = 98, hkl 1 1 -2
- 24.8°, I = 83, hkl 1 1 2
- 23.9°, I = 80, hkl 0 0 4
- 30.4°, I = 56, hkl 0 2 3
- 21.9°, I = 46, hkl 1 1 1
- 25.9°, I = 36, hkl 1 1 -3
- 26.9°, I = 29, hkl 0 1 4
- 43.8°, I = 28, hkl 2 0 4
- 24.4°, I = 23, hkl 0 2 0

Cell: 5.438 7.302 15.019 Å, 90.00 97.27 90.00°
Space group P2_1/c (No. 14)
Symmetry-distinct sites (fractional):
S1 0.035 0.222 0.351
S2 0.453 0.160 0.136
O1 0.005 0.698 0.244
O2 0.473 0.526 0.668
F1 0.165 0.589 0.109
F2 0.202 0.166 0.064
F3 0.269 0.090 0.387
F4 0.364 0.676 0.441



Entry 3:
Simulated powder diffraction line list
Compound: SO2F2
Radiation: Cu Kα (λ = 1.5418 Å)
Structure: a PBE-relaxed structure
Lines closer than 0.1° are merged.

Peak list (10 most intense, 10° ≤ 2θ ≤ 80°, by intensity)
- 22.1°, I = 100, hkl 1 0 2
- 23.3°, I = 27, hkl 1 1 0
- 27.6°, I = 13, hkl 1 0 3
- 33.2°, I = 13, hkl 2 0 0
- 24.5°, I = 11, hkl 1 1 1
- 43.7°, I = 11, hkl 2 1 3
- 18.0°, I = 10, hkl 1 0 1
- 32.3°, I = 8, hkl 1 1 3
- 34.0°, I = 6, hkl 1 0 4
- 36.5°, I = 6, hkl 2 0 2

Cell: 5.394 5.394 12.092 Å, 90.00 90.00 90.00°
Space group P4_12_12 (No. 92)
Symmetry-distinct sites (fractional):
S1 0.080 0.080 0.000
O1 0.012 0.320 0.964
F1 0.005 0.111 0.410



Entry 4:
Simulated powder diffraction line list
Compound: Sm3SOF5
Radiation: Cu Kα (λ = 1.5418 Å)
Structure: a PBE-relaxed structure
Lines closer than 0.1° are merged.

Peak list (10 most intense, 10° ≤ 2θ ≤ 80°, by intensity)
- 28.2°, I = 100, hkl 2 0 1
- 30.0°, I = 86, hkl 2 1 -1
- 25.9°, I = 48, hkl 1 1 0
- 28.4°, I = 45, hkl 3 0 -2
- 31.9°, I = 43, hkl 0 1 2
- 10.6°, I = 40, hkl 1 0 0
- 37.1°, I = 39, hkl 3 1 -1
- 46.0°, I = 36, hkl 3 1 -4
- 18.4°, I = 30, hkl 1 0 -2
- 56.7°, I = 30, hkl 2 2 1

Cell: 9.609 3.783 9.657 Å, 90.00 119.60 90.00°
Space group Pm (No. 6)
Symmetry-distinct sites (fractional):
Sm1 0.000 0.000 0.000
Sm2 0.106 0.500 0.689
Sm3 0.284 0.000 0.452
Sm4 0.405 0.500 0.182
Sm5 0.578 0.500 0.871
Sm6 0.833 0.000 0.313
S1 0.028 0.500 0.247
S2 0.373 0.000 0.918
O1 0.085 0.000 0.533
O2 0.265 0.000 0.198
F1 0.132 0.500 0.960
F2 0.324 0.500 0.633
F3 0.428 0.500 0.436
F4 0.542 0.000 0.706
F5 0.588 0.000 0.312
F6 0.656 0.500 0.152
F7 0.749 0.000 0.019
F8 0.823 0.500 0.870
F9 0.847 0.500 0.467
F10 0.977 0.000 0.748



What did the third record say?
Simulated powder diffraction line list
Compound: SO2F2
Radiation: Cu Kα (λ = 1.5418 Å)
Structure: a PBE-relaxed structure
Lines closer than 0.1° are merged.

Peak list (10 most intense, 10° ≤ 2θ ≤ 80°, by intensity)
- 22.1°, I = 100, hkl 1 0 2
- 23.3°, I = 27, hkl 1 1 0
- 27.6°, I = 13, hkl 1 0 3
- 33.2°, I = 13, hkl 2 0 0
- 24.5°, I = 11, hkl 1 1 1
- 43.7°, I = 11, hkl 2 1 3
- 18.0°, I = 10, hkl 1 0 1
- 32.3°, I = 8, hkl 1 1 3
- 34.0°, I = 6, hkl 1 0 4
- 36.5°, I = 6, hkl 2 0 2

Cell: 5.394 5.394 12.092 Å, 90.00 90.00 90.00°
Space group P4_12_12 (No. 92)
Symmetry-distinct sites (fractional):
S1 0.080 0.080 0.000
O1 0.012 0.320 0.964
F1 0.005 0.111 0.410